No. 1
Cd6Sn: simulated XRD peak list (a wavelength of 1.5418 Å), based on a PBE-relaxed structure.
Kinematic intensities with the Lorentz-polarization factor, no thermal factor.

Crystal structure
Lattice parameters (Å, degrees): 4.9934 4.9934 7.1174 90.00 90.00 90.00
Space group P4/mmm (No. 123)
Inequivalent atoms, fractional coordinates:
Cd  0.0000  0.0000  0.0000 x1
Cd  0.0000  0.5000  0.2239 x4
Cd  0.5000  0.5000  0.5000 x1
Sn  0.0000  0.0000  0.5000 x1

Largest 10 diffraction maxima, most intense first, 10 to 90 degrees two-theta:
2theta	I/Imax	h k l
35.83	100	1 1 2
35.97	53	2 0 0
64.57	34	3 1 2
51.78	18	2 2 0
87.29	16	4 2 0
64.29	14	2 0 4
28.21	12	1 1 1
75.92	9	2 2 4
51.35	7	0 0 4
21.74	7	1 0 1


No. 2
Cd6Sn: simulated XRD peak list (a wavelength of 1.5418 Å), based on a PBE-relaxed structure.
Kinematic intensities with the Lorentz-polarization factor, no thermal factor.

Crystal structure
Lattice parameters (Å, degrees): 5.8223 5.8223 10.1170 90.00 90.00 90.00
Space group P4/nbm (No. 125, origin choice 2)
Inequivalent atoms, fractional coordinates:
Cd  0.0718  0.5718  0.1390 x8
Cd  0.2500  0.2500  0.3563 x4
Sn  0.2500  0.7500  0.5000 x2

Largest 10 diffraction maxima, most intense first, 10 to 90 degrees two-theta:
2theta	I/Imax	h k l
31.99	100	2 0 1
34.38	68	1 1 3
38.90	60	2 1 2
35.60	46	2 1 1
43.97	39	2 2 0
62.38	37	3 1 4
35.51	30	0 0 4
40.95	28	2 0 3
57.71	22	2 1 5
74.67	21	3 3 3


No. 3
Sr2Cd3Sn: simulated XRD peak list (a wavelength of 1.5418 Å), based on a PBE-relaxed structure.
Kinematic intensities with the Lorentz-polarization factor, no thermal factor.

Crystal structure
Lattice parameters (Å, degrees): 8.0179 10.1655 17.5686 90.00 90.00 90.00
Space group Fmmm (No. 69)
Inequivalent atoms, fractional coordinates:
Sr  0.2472  0.0000  0.0000 x8
Sr  0.2500  0.2500  0.2500 x8
Cd  0.0000  0.0000  0.1657 x8
Cd  0.0000  0.2494  0.0826 x16
Sn  0.0000  0.0000  0.3349 x8

Largest 10 diffraction maxima, most intense first, 10 to 90 degrees two-theta:
2theta	I/Imax	h k l
30.17	100	2 0 4
35.36	80	0 4 0
58.69	36	4 4 0
47.15	29	2 4 4
42.13	20	2 4 0
22.17	18	2 0 0
60.26	18	2 6 2
45.24	13	4 0 0
81.31	12	4 6 6
63.43	9	0 6 6